(1)
The following is a computed powder XRD pattern of KSr14Ca. It was derived from the PBE geometry in Alexandria, using copper Kα.
Neutral-atom scattering factors, no anomalous dispersion.

Main lines, most intense first (10 to 90 degrees two-theta):
Position (°2θ), intensity
25.65, 100
29.49, 35
50.03, 31
42.65, 25
30.11, 17
50.83, 15
52.71, 13
42.20, 13

Atomic structure:
a b c (Å): 8.5665 8.5665 11.8715
angles (deg): 90.00 90.00 90.00
Sites, in units of the cell vectors:
K: 0.0000 0.0000 0.0000
Sr: 0.0000 0.0000 0.5000
Sr: 0.0000 0.5000 0.0000
Sr: 0.0000 0.5000 0.5000
Sr: 0.2538 0.2538 0.2491
Sr: 0.2538 0.2538 0.7509
Sr: 0.2538 0.7462 0.2491
Sr: 0.2538 0.7462 0.7509
Sr: 0.5000 0.0000 0.0000
Sr: 0.5000 0.0000 0.5000
Sr: 0.5000 0.5000 0.5000
Sr: 0.7462 0.2538 0.2491
Sr: 0.7462 0.2538 0.7509
Sr: 0.7462 0.7462 0.2491
Sr: 0.7462 0.7462 0.7509
Ca: 0.5000 0.5000 0.0000


(2)
The following is a computed powder XRD pattern of K2SrCa. It was derived from the PBE geometry in Alexandria, using copper Kα.
Neutral-atom scattering factors, no anomalous dispersion.

Main lines, most intense first (10 to 90 degrees two-theta):
Position (°2θ), intensity
26.57, 100
24.30, 38
25.66, 27
44.16, 23
35.62, 22
45.81, 21
54.73, 12
58.66, 9

Atomic structure:
a b c (Å): 4.4946 6.9422 14.6594
angles (deg): 90.00 90.00 90.00
Sites, in units of the cell vectors:
K: 0.0000 0.0000 0.2427
K: 0.0000 0.0000 0.7573
K: 0.5000 0.5000 0.2427
K: 0.5000 0.5000 0.7573
Sr: 0.0000 0.5000 0.5000
Sr: 0.5000 0.0000 0.5000
Ca: 0.0000 0.5000 0.0000
Ca: 0.5000 0.0000 0.0000


(3)
The following is a computed powder XRD pattern of K2SrCa. It was derived from the PBE geometry in Alexandria, using copper Kα.
Neutral-atom scattering factors, no anomalous dispersion.

Main lines, most intense first (10 to 90 degrees two-theta):
Position (°2θ), intensity
26.53, 100
26.71, 98
24.33, 63
25.48, 56
35.52, 45
44.19, 24
44.30, 23
45.44, 21

Atomic structure:
a b c (Å): 4.1669 7.3171 7.5315
angles (deg): 90.00 95.30 90.00
Sites, in units of the cell vectors:
K: 0.2399 0.0000 0.2550
K: 0.7601 0.0000 0.7450
Sr: 0.5000 0.5000 0.0000
Ca: 0.0000 0.5000 0.5000


(4)
The following is a computed powder XRD pattern of K2Sr4Ca. It was derived from the PBE geometry in Alexandria, using copper Kα.
Neutral-atom scattering factors, no anomalous dispersion.

Main lines, most intense first (10 to 90 degrees two-theta):
Position (°2θ), intensity
26.37, 100
25.11, 95
29.74, 91
42.73, 45
27.57, 34
50.58, 32
50.06, 27
22.40, 24

Atomic structure:
a b c (Å): 4.2684 44.6279 4.2477
angles (deg): 90.00 90.00 90.00
Sites, in units of the cell vectors:
K: 0.0000 0.2045 0.0000
K: 0.0000 0.7955 0.0000
K: 0.5000 0.2955 0.0000
K: 0.5000 0.7045 0.0000
Sr: 0.0000 0.0599 0.0000
Sr: 0.0000 0.3728 0.5000
Sr: 0.0000 0.6272 0.5000
Sr: 0.0000 0.9401 0.0000
Sr: 0.5000 0.1272 0.5000
Sr: 0.5000 0.4401 0.0000
Sr: 0.5000 0.5599 0.0000
Sr: 0.5000 0.8728 0.5000
Ca: 0.0000 0.5000 0.5000
Ca: 0.5000 0.0000 0.5000


(5)
The following is a computed powder XRD pattern of K3CaTl8. It was derived from the PBE geometry in Alexandria, using copper Kα.
Neutral-atom scattering factors, no anomalous dispersion.

Main lines, most intense first (10 to 90 degrees two-theta):
Position (°2θ), intensity
31.68, 100
33.11, 90
16.38, 87
38.48, 48
31.81, 33
33.32, 29
16.48, 29
55.41, 26

Atomic structure:
a b c (Å): 11.4180 11.4180 11.4180
angles (deg): 33.77 33.77 33.77
Sites, in units of the cell vectors:
K: 0.0000 0.0000 0.0000
K: 0.1239 0.1239 0.1239
K: 0.6259 0.6259 0.6259
Ca: 0.5004 0.5004 0.5004
Tl: 0.0608 0.0608 0.5597
Tl: 0.0608 0.5596 0.0608
Tl: 0.0671 0.5638 0.5638
Tl: 0.3138 0.3138 0.3138
Tl: 0.5597 0.0608 0.0608
Tl: 0.5638 0.0671 0.5638
Tl: 0.5638 0.5638 0.0671
Tl: 0.8120 0.8120 0.8120


(6)
The following is a computed powder XRD pattern of KCa2Y. It was derived from the PBE geometry in Alexandria, using copper Kα.
Neutral-atom scattering factors, no anomalous dispersion.

Main lines, most intense first (10 to 90 degrees two-theta):
Position (°2θ), intensity
27.85, 100
33.03, 31
55.89, 25
45.71, 24
30.69, 19
52.84, 15
18.04, 14
57.55, 11

Atomic structure:
a b c (Å): 5.4232 5.4232 11.6531
angles (deg): 90.00 90.00 90.00
Sites, in units of the cell vectors:
K: 0.0000 0.0000 0.0000
K: 0.5000 0.5000 0.5000
Ca: 0.0000 0.0000 0.5000
Ca: 0.0000 0.5000 0.2500
Ca: 0.5000 0.0000 0.7500
Ca: 0.5000 0.5000 0.0000
Y: 0.0000 0.5000 0.7500
Y: 0.5000 0.0000 0.2500


(7)
The following is a computed powder XRD pattern of Ca2La. It was derived from the PBE geometry in Alexandria, using copper Kα.
Neutral-atom scattering factors, no anomalous dispersion.

Main lines, most intense first (10 to 90 degrees two-theta):
Position (°2θ), intensity
28.16, 100
28.72, 95
33.94, 60
17.20, 54
46.57, 48
30.93, 39
15.60, 37
56.93, 26

Atomic structure:
a b c (Å): 3.6856 5.7831 11.3641
angles (deg): 90.00 90.00 90.00
Sites, in units of the cell vectors:
Ca: 0.0000 0.0000 0.1634
Ca: 0.0000 0.0000 0.8366
Ca: 0.5000 0.5000 0.3366
Ca: 0.5000 0.5000 0.6634
La: 0.0000 0.0000 0.5000
La: 0.5000 0.5000 0.0000


(8)
The following is a computed powder XRD pattern of CaLa6. It was derived from the PBE geometry in Alexandria, using copper Kα.
Neutral-atom scattering factors, no anomalous dispersion.

Main lines, most intense first (10 to 90 degrees two-theta):
Position (°2θ), intensity
26.32, 100
15.10, 97
37.56, 79
40.69, 62
43.64, 47
21.42, 42
63.43, 31
76.11, 30

Atomic structure:
a b c (Å): 8.2957 8.2957 8.2957
angles (deg): 90.00 90.00 90.00
Sites, in units of the cell vectors:
Ca: 0.0000 0.0000 0.0000
Ca: 0.5000 0.5000 0.5000
La: 0.0000 0.2500 0.5000
La: 0.0000 0.5000 0.2500
La: 0.0000 0.5000 0.7500
La: 0.0000 0.7500 0.5000
La: 0.2500 0.0000 0.5000
La: 0.2500 0.5000 0.0000
La: 0.5000 0.0000 0.2500
La: 0.5000 0.0000 0.7500
La: 0.5000 0.2500 0.0000
La: 0.5000 0.7500 0.0000
La: 0.7500 0.0000 0.5000
La: 0.7500 0.5000 0.0000


(9)
The following is a computed powder XRD pattern of Ca2La. It was derived from the PBE geometry in Alexandria, using copper Kα.
Neutral-atom scattering factors, no anomalous dispersion.

Main lines, most intense first (10 to 90 degrees two-theta):
Position (°2θ), intensity
30.50, 100
29.94, 48
29.08, 37
27.83, 28
55.72, 24
26.72, 21
52.44, 21
46.43, 19

Atomic structure:
a b c (Å): 3.8232 20.4848 6.1412
angles (deg): 90.00 90.00 90.00
Sites, in units of the cell vectors:
Ca: 0.0000 0.0574 0.2500
Ca: 0.0000 0.3852 0.2500
Ca: 0.0000 0.6148 0.7500
Ca: 0.0000 0.9426 0.7500
Ca: 0.5000 0.1148 0.7500
Ca: 0.5000 0.4426 0.7500
Ca: 0.5000 0.5574 0.2500
Ca: 0.5000 0.8852 0.2500
La: 0.0000 0.2751 0.7500
La: 0.0000 0.7249 0.2500
La: 0.5000 0.2249 0.2500
La: 0.5000 0.7751 0.7500


(10)
The following is a computed powder XRD pattern of CaLa. It was derived from the PBE geometry in Alexandria, using copper Kα.
Neutral-atom scattering factors, no anomalous dispersion.

Main lines, most intense first (10 to 90 degrees two-theta):
Position (°2θ), intensity
28.59, 100
33.37, 34
56.75, 28
47.39, 22
34.04, 17
32.66, 16
24.81, 14
47.91, 12

Atomic structure:
a b c (Å): 3.7974 3.7974 10.9658
angles (deg): 90.00 90.00 90.00
Sites, in units of the cell vectors:
Ca: 0.2500 0.2500 0.1312
Ca: 0.7500 0.7500 0.8688
La: 0.2500 0.2500 0.6115
La: 0.7500 0.7500 0.3885


(11)
The following is a computed powder XRD pattern of CaLa5. It was derived from the PBE geometry in Alexandria, using copper Kα.
Neutral-atom scattering factors, no anomalous dispersion.

Main lines, most intense first (10 to 90 degrees two-theta):
Position (°2θ), intensity
29.07, 100
33.81, 34
57.60, 30
48.31, 23
33.46, 16
57.14, 12
48.56, 12
60.26, 12

Atomic structure:
a b c (Å): 3.7493 3.7493 16.0684
angles (deg): 90.00 90.00 90.00
Sites, in units of the cell vectors:
Ca: 0.0000 0.0000 0.0000
La: 0.0000 0.0000 0.3342
La: 0.0000 0.0000 0.6658
La: 0.5000 0.5000 0.1793
La: 0.5000 0.5000 0.5000
La: 0.5000 0.5000 0.8207


(12)
The following is a computed powder XRD pattern of CaLa5. It was derived from the PBE geometry in Alexandria, using copper Kα.
Neutral-atom scattering factors, no anomalous dispersion.

Main lines, most intense first (10 to 90 degrees two-theta):
Position (°2θ), intensity
30.90, 100
29.63, 25
27.03, 24
57.21, 22
53.38, 21
47.76, 19
40.54, 16
57.97, 16

Atomic structure:
a b c (Å): 6.5971 6.5971 6.0302
angles (deg): 90.00 90.00 120.00
Sites, in units of the cell vectors:
Ca: 0.0000 0.0000 0.0000
La: 0.0000 0.6480 0.5000
La: 0.3333 0.6667 0.0000
La: 0.3520 0.3520 0.5000
La: 0.6480 0.0000 0.5000
La: 0.6667 0.3333 0.0000


(13)
The following is a computed powder XRD pattern of Ca3La4. It was derived from the PBE geometry in Alexandria, using copper Kα.
Neutral-atom scattering factors, no anomalous dispersion.

Main lines, most intense first (10 to 90 degrees two-theta):
Position (°2θ), intensity
28.67, 100
33.36, 34
56.78, 28
47.59, 22
32.95, 16
47.89, 13
56.24, 12
35.08, 12

Atomic structure:
a b c (Å): 3.7985 3.7985 38.0558
angles (deg): 90.00 90.00 90.00
Sites, in units of the cell vectors:
Ca: 0.0000 0.0000 0.0000
Ca: 0.0000 0.0000 0.2879
Ca: 0.0000 0.0000 0.7121
Ca: 0.5000 0.5000 0.2121
Ca: 0.5000 0.5000 0.5000
Ca: 0.5000 0.5000 0.7879
La: 0.0000 0.0000 0.1381
La: 0.0000 0.0000 0.4257
La: 0.0000 0.0000 0.5743
La: 0.0000 0.0000 0.8619
La: 0.5000 0.5000 0.0743
La: 0.5000 0.5000 0.3619
La: 0.5000 0.5000 0.6381
La: 0.5000 0.5000 0.9257


(14)
The following is a computed powder XRD pattern of Li2Ca2La. It was derived from the PBE geometry in Alexandria, using copper Kα.
Neutral-atom scattering factors, no anomalous dispersion.

Main lines, most intense first (10 to 90 degrees two-theta):
Position (°2θ), intensity
29.57, 100
13.11, 83
39.24, 82
18.58, 65
25.22, 48
31.50, 41
60.77, 40
26.39, 37

Atomic structure:
a b c (Å): 9.5532 9.5532 3.5319
angles (deg): 90.00 90.00 90.00
Sites, in units of the cell vectors:
Li: 0.1647 0.3353 0.0000
Li: 0.3353 0.8353 0.0000
Li: 0.6647 0.1647 0.0000
Li: 0.8353 0.6647 0.0000
Ca: 0.1340 0.6340 0.5000
Ca: 0.3660 0.1340 0.5000
Ca: 0.6340 0.8660 0.5000
Ca: 0.8660 0.3660 0.5000
La: 0.0000 0.0000 0.5000
La: 0.5000 0.5000 0.5000


(15)
The following is a computed powder XRD pattern of LiCa2LaPt. It was derived from the PBE geometry in Alexandria, using copper Kα.
Neutral-atom scattering factors, no anomalous dispersion.

Main lines, most intense first (10 to 90 degrees two-theta):
Position (°2θ), intensity
15.50, 100
31.29, 31
35.09, 27
21.98, 26
35.99, 26
48.42, 22
45.57, 22
32.28, 14

Atomic structure:
a b c (Å): 5.7179 5.7179 5.5472
angles (deg): 90.00 90.00 90.00
Sites, in units of the cell vectors:
Li: 0.0000 0.0000 0.0000
Ca: 0.0000 0.5000 0.5000
Ca: 0.5000 0.0000 0.5000
La: 0.5000 0.5000 0.0000
Pt: 0.5000 0.5000 0.5000